Structure and simulated XRD peak list of LaCo5H3 (a structure optimized by DFT (PBE); a wavelength of 1.5418 Å).
No peak broadening, texture or thermal motion is included.

Top 6 peaks for 2θ = 10–90°, sorted by position:
index, 2θ (°), d/Å, I (rel.)
1 1 -1, 30.0, 2.983, 100
0 0 2, 39.2, 2.296, 56
1 1 1, 41.0, 2.201, 90
1 1 -2, 41.2, 2.193, 83
2 1 -1, 42.2, 2.141, 86
0 2 0, 44.8, 2.021, 71

Crystal structure
```
data_LaCo5H3
_cell_length_a 5.0478
_cell_length_b 4.0419
_cell_length_c 5.2277
_cell_angle_alpha 90.00
_cell_angle_beta 118.55
_cell_angle_gamma 90.00
_space_group_name_H-M_alt 'P 1 2/m 1'
_space_group_IT_number 10
loop_
_space_group_symop_operation_xyz
'x,y,z'
'-x,-y,-z'
'-x,y,-z'
'x,-y,z'
loop_
_atom_site_label
_atom_site_type_symbol
_atom_site_fract_x
_atom_site_fract_y
_atom_site_fract_z
La1 La 0.0000 0.0000 0.0000
Co1 Co 0.0000 0.5000 0.5000
Co2 Co 0.3343 0.0000 0.6208
Co3 Co 0.5000 0.5000 0.0000
Co4 Co 0.5000 0.5000 0.5000
H1 H 0.1377 0.5000 0.8531
H2 H 0.5000 0.0000 0.0000
```

***

Structure and simulated XRD peak list of FeTeSe (a structure optimized by DFT (PBE); a wavelength of 1.5418 Å).
No peak broadening, texture or thermal motion is included.

Top 6 peaks for 2θ = 10–90°, sorted by position:
index, 2θ (°), d/Å, I (rel.)
1 1 0, 29.7, 3.008, 29
1 1 1, 33.3, 2.691, 100
0 1 2, 34.7, 2.584, 73
1 2 1, 46.0, 1.973, 58
1 0 3, 51.6, 1.771, 31
2 1 2, 61.0, 1.518, 28

Crystal structure
```
data_FeTeSe
_cell_length_a 3.7530
_cell_length_b 5.0261
_cell_length_c 6.0253
_cell_angle_alpha 90.00
_cell_angle_beta 90.00
_cell_angle_gamma 90.00
_space_group_name_H-M_alt 'P m n 21'
_space_group_IT_number 31
loop_
_space_group_symop_operation_xyz
'x,y,z'
'-x+1/2,-y,z+1/2'
'-x,y,z'
'x+1/2,-y,z+1/2'
loop_
_atom_site_label
_atom_site_type_symbol
_atom_site_fract_x
_atom_site_fract_y
_atom_site_fract_z
Fe1 Fe 0.0000 0.2357 0.0000
Te1 Te 0.0000 0.4729 0.6336
Se1 Se 0.0000 0.0280 0.3619
```

***

Structure and simulated XRD peak list of KCoP2Ru (a structure optimized by DFT (PBE); a wavelength of 1.5418 Å).
No peak broadening, texture or thermal motion is included.

Top 6 peaks for 2θ = 10–90°, sorted by position:
index, 2θ (°), d/Å, I (rel.)
0 0 2, 13.5, 6.569, 100
1 0 3, 31.0, 2.889, 29
1 1 2, 35.7, 2.512, 53
1 1 4, 43.2, 2.094, 26
2 0 0, 47.3, 1.922, 25
1 1 6, 53.8, 1.705, 34

Crystal structure
```
data_KCoP2Ru
_cell_length_a 3.8447
_cell_length_b 3.8447
_cell_length_c 13.1376
_cell_angle_alpha 90.00
_cell_angle_beta 90.00
_cell_angle_gamma 90.00
_space_group_name_H-M_alt 'I -4 m 2'
_space_group_IT_number 119
_space_group_name_Hall 'I -4 -2'
loop_
_atom_site_label
_atom_site_type_symbol
_atom_site_fract_x
_atom_site_fract_y
_atom_site_fract_z
K1 K 0.0000 0.0000 0.0000
Co1 Co 0.0000 0.5000 0.2500
P1 P 0.0000 0.0000 0.3420
Ru1 Ru 0.0000 0.5000 0.7500
```

***

Structure and simulated XRD peak list of Ac5IrPd2O (a structure optimized by DFT (PBE); a wavelength of 1.5418 Å).
No peak broadening, texture or thermal motion is included.

Top 6 peaks for 2θ = 10–90°, sorted by position:
index, 2θ (°), d/Å, I (rel.)
1 3 2, 28.4, 3.148, 20
1 1 3, 28.9, 3.091, 100
0 6 1, 29.5, 3.026, 44
1 5 2, 34.4, 2.607, 41
2 0 0, 41.8, 2.162, 26
1 7 4, 48.2, 1.887, 25

Crystal structure
```
data_Ac5IrPd2O
_cell_length_a 4.3230
_cell_length_b 18.6167
_cell_length_c 13.6579
_cell_angle_alpha 90.00
_cell_angle_beta 90.00
_cell_angle_gamma 90.00
_space_group_name_H-M_alt 'C m c 21'
_space_group_IT_number 36
loop_
_space_group_symop_operation_xyz
'x,y,z'
'-x,-y,z+1/2'
'-x,y,z'
'x,-y,z+1/2'
'x+1/2,y+1/2,z'
'-x+1/2,-y+1/2,z+1/2'
'-x+1/2,y+1/2,z'
'x+1/2,-y+1/2,z+1/2'
loop_
_atom_site_label
_atom_site_type_symbol
_atom_site_fract_x
_atom_site_fract_y
_atom_site_fract_z
Ac1 Ac 0.0000 0.0025 0.0000
Ac2 Ac 0.0000 0.1433 0.2479
Ac3 Ac 0.0000 0.1911 0.6145
Ac4 Ac 0.0000 0.2091 0.9120
Ac5 Ac 0.0000 0.4593 0.2382
Ir1 Ir 0.0000 0.2992 0.2641
Pd1 Pd 0.0000 0.3789 0.5711
Pd2 Pd 0.0000 0.3926 0.9171
O1 O 0.0000 0.0542 0.6576
```

***

Structure and simulated XRD peak list of YS2O6F2 (a structure optimized by DFT (PBE); a wavelength of 1.5418 Å).
No peak broadening, texture or thermal motion is included.

Top 6 peaks for 2θ = 10–90°, sorted by position:
index, 2θ (°), d/Å, I (rel.)
1 0 1, 23.8, 3.743, 100
1 1 0, 30.1, 2.968, 38
1 0 2, 37.3, 2.411, 18
2 0 1, 38.7, 2.325, 14
2 1 1, 49.8, 1.830, 20
0 1 3, 53.4, 1.715, 16

Crystal structure
```
data_YS2O6F2
_cell_length_a 5.9351
_cell_length_b 5.9351
_cell_length_c 5.4607
_cell_angle_alpha 90.00
_cell_angle_beta 90.00
_cell_angle_gamma 120.00
_space_group_name_H-M_alt 'P -3 m 1'
_space_group_IT_number 164
_space_group_name_Hall '-P 3 2"'
loop_
_atom_site_label
_atom_site_type_symbol
_atom_site_fract_x
_atom_site_fract_y
_atom_site_fract_z
Y1 Y 0.0000 0.0000 0.0000
S1 S 0.3333 0.6667 0.7464
O1 O 0.1906 0.3813 0.7844
F1 F 0.3333 0.6667 0.4507
```

***

Structure and simulated XRD peak list of Ru2Pt3Rh2 (a structure optimized by DFT (PBE); a wavelength of 1.5418 Å).
No peak broadening, texture or thermal motion is included.

Top 6 peaks for 2θ = 10–90°, sorted by position:
index, 2θ (°), d/Å, I (rel.)
1 7 0, 40.1, 2.251, 97
1 1 1, 40.3, 2.238, 100
0 6 1, 44.0, 2.060, 42
2 0 0, 44.8, 2.022, 36
2 6 1, 64.6, 1.443, 27
1 7 2, 83.1, 1.162, 24

Crystal structure
```
data_Ru2Pt3Rh2
_cell_length_a 4.0431
_cell_length_b 18.9676
_cell_length_c 2.7150
_cell_angle_alpha 90.00
_cell_angle_beta 90.00
_cell_angle_gamma 90.00
_space_group_name_H-M_alt 'C m m m'
_space_group_IT_number 65
_space_group_name_Hall '-C 2 2'
loop_
_atom_site_label
_atom_site_type_symbol
_atom_site_fract_x
_atom_site_fract_y
_atom_site_fract_z
Ru1 Ru 0.0000 0.1497 0.0000
Pt1 Pt 0.0000 0.0000 0.0000
Pt2 Pt 0.0000 0.4262 0.5000
Rh1 Rh 0.0000 0.2895 0.5000
```

***

Structure and simulated XRD peak list of Zr4CuP (a structure optimized by DFT (PBE); a wavelength of 1.5418 Å).
No peak broadening, texture or thermal motion is included.

Top 6 peaks for 2θ = 10–90°, sorted by position:
index, 2θ (°), d/Å, I (rel.)
2 1 1, 35.0, 2.566, 100
1 1 2, 39.0, 2.311, 26
3 1 0, 43.8, 2.069, 48
2 1 3, 61.0, 1.520, 30
3 3 2, 70.5, 1.335, 15
5 2 1, 81.2, 1.185, 16

Crystal structure
```
data_Zr4CuP
_cell_length_a 6.5445
_cell_length_b 6.5445
_cell_length_c 5.3327
_cell_angle_alpha 90.00
_cell_angle_beta 90.00
_cell_angle_gamma 90.00
_space_group_name_H-M_alt 'P 4/m c c'
_space_group_IT_number 124
_space_group_name_Hall '-P 4 2c'
loop_
_atom_site_label
_atom_site_type_symbol
_atom_site_fract_x
_atom_site_fract_y
_atom_site_fract_z
Zr1 Zr 0.1527 0.3392 0.0000
Cu1 Cu 0.5000 0.5000 0.2500
P1 P 0.0000 0.0000 0.2500
```

***

Structure and simulated XRD peak list of SrMg2Be2 (a structure optimized by DFT (PBE); a wavelength of 1.5418 Å).
No peak broadening, texture or thermal motion is included.

Top 6 peaks for 2θ = 10–90°, sorted by position:
index, 2θ (°), d/Å, I (rel.)
1 0 1, 21.8, 4.080, 80
1 0 3, 31.4, 2.853, 46
0 0 4, 31.7, 2.822, 23
1 1 2, 33.0, 2.713, 100
2 0 0, 41.3, 2.188, 30
2 1 1, 47.1, 1.928, 22

Crystal structure
```
data_SrMg2Be2
_cell_length_a 4.3752
_cell_length_b 4.3752
_cell_length_c 11.2890
_cell_angle_alpha 90.00
_cell_angle_beta 90.00
_cell_angle_gamma 90.00
_space_group_name_H-M_alt 'I 4/m m m'
_space_group_IT_number 139
_space_group_name_Hall '-I 4 2'
loop_
_atom_site_label
_atom_site_type_symbol
_atom_site_fract_x
_atom_site_fract_y
_atom_site_fract_z
Sr1 Sr 0.0000 0.0000 0.0000
Mg1 Mg 0.0000 0.5000 0.2500
Be1 Be 0.0000 0.0000 0.4023
```

***

> Which formula does entry 6 have?

Ru2Pt3Rh2

***

> Number 3 is which compound?

KCoP2Ru

***

Copy entry 4 word for word.
Structure and simulated XRD peak list of Ac5IrPd2O (a structure optimized by DFT (PBE); a wavelength of 1.5418 Å).
No peak broadening, texture or thermal motion is included.

Top 6 peaks for 2θ = 10–90°, sorted by position:
index, 2θ (°), d/Å, I (rel.)
1 3 2, 28.4, 3.148, 20
1 1 3, 28.9, 3.091, 100
0 6 1, 29.5, 3.026, 44
1 5 2, 34.4, 2.607, 41
2 0 0, 41.8, 2.162, 26
1 7 4, 48.2, 1.887, 25

Crystal structure
```
data_Ac5IrPd2O
_cell_length_a 4.3230
_cell_length_b 18.6167
_cell_length_c 13.6579
_cell_angle_alpha 90.00
_cell_angle_beta 90.00
_cell_angle_gamma 90.00
_space_group_name_H-M_alt 'C m c 21'
_space_group_IT_number 36
loop_
_space_group_symop_operation_xyz
'x,y,z'
'-x,-y,z+1/2'
'-x,y,z'
'x,-y,z+1/2'
'x+1/2,y+1/2,z'
'-x+1/2,-y+1/2,z+1/2'
'-x+1/2,y+1/2,z'
'x+1/2,-y+1/2,z+1/2'
loop_
_atom_site_label
_atom_site_type_symbol
_atom_site_fract_x
_atom_site_fract_y
_atom_site_fract_z
Ac1 Ac 0.0000 0.0025 0.0000
Ac2 Ac 0.0000 0.1433 0.2479
Ac3 Ac 0.0000 0.1911 0.6145
Ac4 Ac 0.0000 0.2091 0.9120
Ac5 Ac 0.0000 0.4593 0.2382
Ir1 Ir 0.0000 0.2992 0.2641
Pd1 Pd 0.0000 0.3789 0.5711
Pd2 Pd 0.0000 0.3926 0.9171
O1 O 0.0000 0.0542 0.6576
```